This entry pairs a crystal structure of CaLa4In4 with its theoretical powder X-ray diffraction pattern. Radiation: copper Kα. Structure: a DFT-relaxed cell (GGA-PBE, Alexandria).
No peak broadening, texture or thermal motion is included.

Structure:
Cell lengths 9.456, 9.456, 6.346 Å; angles 90.00, 90.00, 90.00 degrees
Fractional coordinates of all 18 atoms:
Ca1 0.250 0.250 0.250
Ca2 0.750 0.750 0.750
La1 0.085 0.826 0.617
La2 0.174 0.585 0.117
La3 0.326 0.915 0.117
La4 0.415 0.674 0.617
La5 0.585 0.326 0.383
La6 0.674 0.085 0.883
La7 0.826 0.415 0.883
La8 0.915 0.174 0.383
In1 0.054 0.148 0.869
In2 0.148 0.446 0.631
In3 0.352 0.054 0.631
In4 0.446 0.352 0.869
In5 0.554 0.648 0.131
In6 0.648 0.946 0.369
In7 0.852 0.554 0.369
In8 0.946 0.852 0.131

Peak list (10 most intense, 5° ≤ 2θ ≤ 70°, by intensity)
two_theta	I (rel.)	(hkl)
29.88	100.0	3 1 0
29.70	91.6	1 0 2
35.37	89.2	2 1 2
30.21	84.1	2 2 1
31.69	68.0	3 0 1
37.09	59.1	2 3 1
33.12	50.5	1 3 1
60.24	26.1	2 5 2
49.01	19.0	4 1 2
56.66	18.9	5 0 2